Entry 1:
Starting from a structure optimized by DFT (GGA-PBE), the powder XRD pattern of Sb2MoPtI was computed for Cu Ka.
Kinematic intensities with the Lorentz-polarization factor, no thermal factor.

Crystal structure
a = 5.226 Å, b = 5.226 Å, c = 5.512 Å
α = 90.00°, β = 90.00°, γ = 90.00°
Fractional coordinates of all 5 atoms:
Sb 0.000 0.500 0.000
Sb 0.500 0.000 0.000
Mo 0.000 0.000 0.500
Pt 0.500 0.500 0.000
I 0.500 0.500 0.500

Peak list (8 most intense, 10° ≤ 2θ ≤ 90°, in order of rising 2θ)
16.97 deg, intensity 62; 23.46 deg, intensity 33; 29.09 deg, intensity 55; 32.49 deg, intensity 58; 34.32 deg, intensity 100; 47.98 deg, intensity 77; 49.32 deg, intensity 36; 60.31 deg, intensity 39

Entry 2:
Starting from a structure optimized by DFT (GGA-PBE), the powder XRD pattern of Ce4Ho2Sb3N2 was computed for Cu Ka.
Kinematic intensities with the Lorentz-polarization factor, no thermal factor.

Crystal structure
a = 13.403 Å, b = 13.403 Å, c = 13.403 Å
α = 159.97°, β = 159.97°, γ = 28.47°
Fractional coordinates of all 11 atoms:
Ce 0.086 0.586 0.500
Ce 0.414 0.914 0.500
Ce 0.586 0.086 0.500
Ce 0.914 0.414 0.500
Ho 0.196 0.196 0.000
Ho 0.804 0.804 0.000
Sb 0.317 0.317 0.000
Sb 0.500 0.500 0.000
Sb 0.683 0.683 0.000
N 0.109 0.109 0.000
N 0.891 0.891 0.000

Peak list (8 most intense, 10° ≤ 2θ ≤ 90°, in order of rising 2θ)
27.93 deg, intensity 50; 30.41 deg, intensity 26; 34.19 deg, intensity 100; 34.52 deg, intensity 20; 38.64 deg, intensity 57; 52.77 deg, intensity 24; 55.79 deg, intensity 19; 67.08 deg, intensity 28

Entry 3:
Starting from a structure optimized by DFT (GGA-PBE), the powder XRD pattern of Mg4Cd2Pd was computed for Cu Ka.
Kinematic intensities with the Lorentz-polarization factor, no thermal factor.

Crystal structure
a = 5.652 Å, b = 5.652 Å, c = 4.666 Å
α = 90.00°, β = 90.00°, γ = 94.60°
Fractional coordinates of all 7 atoms:
Mg 0.000 0.500 0.500
Mg 0.187 0.813 0.000
Mg 0.500 0.000 0.500
Mg 0.813 0.187 0.000
Cd 0.312 0.312 0.000
Cd 0.688 0.688 0.000
Pd 0.000 0.000 0.500

Peak list (8 most intense, 10° ≤ 2θ ≤ 90°, in order of rising 2θ)
21.39 deg, intensity 51; 24.77 deg, intensity 71; 30.17 deg, intensity 19; 36.80 deg, intensity 47; 37.29 deg, intensity 100; 38.59 deg, intensity 34; 39.63 deg, intensity 39; 54.38 deg, intensity 29

Entry 4:
Starting from a structure optimized by DFT (GGA-PBE), the powder XRD pattern of CsNdSe4 was computed for Cu Ka.
Kinematic intensities with the Lorentz-polarization factor, no thermal factor.

Crystal structure
a = 6.437 Å, b = 6.437 Å, c = 9.158 Å
α = 90.00°, β = 90.00°, γ = 90.00°
Fractional coordinates of all 12 atoms:
Cs 0.250 0.250 0.000
Cs 0.750 0.750 0.000
Nd 0.250 0.250 0.500
Nd 0.750 0.750 0.500
Se 0.116 0.616 0.305
Se 0.116 0.884 0.695
Se 0.384 0.616 0.695
Se 0.384 0.884 0.305
Se 0.616 0.116 0.695
Se 0.616 0.384 0.305
Se 0.884 0.116 0.305
Se 0.884 0.384 0.695

Peak list (8 most intense, 10° ≤ 2θ ≤ 90°, in order of rising 2θ)
27.65 deg, intensity 100; 32.61 deg, intensity 36; 34.05 deg, intensity 30; 36.88 deg, intensity 12; 44.50 deg, intensity 42; 60.90 deg, intensity 11; 61.03 deg, intensity 16; 64.74 deg, intensity 14

Entry 5:
Starting from a structure optimized by DFT (GGA-PBE), the powder XRD pattern of PaAlAu2 was computed for Cu Ka.
Kinematic intensities with the Lorentz-polarization factor, no thermal factor.

Crystal structure
a = 10.236 Å, b = 10.236 Å, c = 4.720 Å
α = 90.00°, β = 90.00°, γ = 160.73°
Fractional coordinates of all 8 atoms:
Pa 0.094 0.906 0.750
Pa 0.906 0.094 0.250
Al 0.331 0.669 0.750
Al 0.669 0.331 0.250
Au 0.274 0.726 0.250
Au 0.461 0.539 0.750
Au 0.539 0.461 0.250
Au 0.726 0.274 0.750

Peak list (8 most intense, 10° ≤ 2θ ≤ 90°, in order of rising 2θ)
34.33 deg, intensity 36; 35.00 deg, intensity 100; 38.14 deg, intensity 30; 40.55 deg, intensity 45; 52.24 deg, intensity 22; 66.91 deg, intensity 16; 69.21 deg, intensity 19; 70.58 deg, intensity 25

Entry 6:
Starting from a structure optimized by DFT (GGA-PBE), the powder XRD pattern of Hf5Ga6 was computed for Cu Ka.
Kinematic intensities with the Lorentz-polarization factor, no thermal factor.

Crystal structure
a = 13.953 Å, b = 13.953 Å, c = 3.813 Å
α = 90.00°, β = 90.00°, γ = 164.06°
Fractional coordinates of all 11 atoms:
Hf 0.000 0.000 0.000
Hf 0.196 0.804 0.500
Hf 0.380 0.620 0.000
Hf 0.620 0.380 0.000
Hf 0.804 0.196 0.500
Ga 0.096 0.904 0.500
Ga 0.279 0.721 0.000
Ga 0.458 0.542 0.500
Ga 0.542 0.458 0.500
Ga 0.721 0.279 0.000
Ga 0.904 0.096 0.500

Peak list (8 most intense, 10° ≤ 2θ ≤ 90°, in order of rising 2θ)
28.15 deg, intensity 26; 32.39 deg, intensity 17; 34.43 deg, intensity 100; 35.05 deg, intensity 47; 42.92 deg, intensity 29; 46.98 deg, intensity 22; 47.70 deg, intensity 21; 59.93 deg, intensity 20

Entry 7:
Starting from a structure optimized by DFT (GGA-PBE), the powder XRD pattern of Pu2Al2Ge3 was computed for Cu Ka.
Kinematic intensities with the Lorentz-polarization factor, no thermal factor.

Crystal structure
a = 7.948 Å, b = 7.948 Å, c = 11.587 Å
α = 125.71°, β = 125.71°, γ = 31.27°
Fractional coordinates of all 14 atoms:
Pu 0.091 0.091 0.437
Pu 0.234 0.234 0.829
Pu 0.766 0.766 0.171
Pu 0.909 0.909 0.563
Al 0.095 0.095 0.162
Al 0.444 0.444 0.186
Al 0.556 0.556 0.814
Al 0.905 0.905 0.838
Ge 0.121 0.121 0.965
Ge 0.340 0.340 0.681
Ge 0.407 0.407 0.375
Ge 0.593 0.593 0.625
Ge 0.660 0.660 0.319
Ge 0.879 0.879 0.035

Peak list (8 most intense, 10° ≤ 2θ ≤ 90°, in order of rising 2θ)
22.17 deg, intensity 53; 23.25 deg, intensity 50; 31.47 deg, intensity 88; 32.27 deg, intensity 100; 35.85 deg, intensity 68; 36.18 deg, intensity 80; 37.51 deg, intensity 87; 42.19 deg, intensity 57

Entry 8:
Starting from a structure optimized by DFT (GGA-PBE), the powder XRD pattern of Tb4IrPd2 was computed for Cu Ka.
Kinematic intensities with the Lorentz-polarization factor, no thermal factor.

Crystal structure
a = 7.574 Å, b = 7.574 Å, c = 7.574 Å
α = 109.68°, β = 109.66°, γ = 109.08°
Fractional coordinates of all 14 atoms:
Tb 0.127 0.127 0.118
Tb 0.373 0.492 0.000
Tb 0.508 0.009 0.882
Tb 0.509 0.008 0.382
Tb 0.627 0.626 0.618
Tb 0.873 0.491 0.999
Tb 0.991 0.373 0.500
Tb 0.992 0.874 0.501
Ir 0.625 0.375 0.250
Ir 0.875 0.125 0.750
Pd 0.130 0.750 0.880
Pd 0.250 0.630 0.380
Pd 0.370 0.250 0.620
Pd 0.750 0.870 0.120

Peak list (8 most intense, 10° ≤ 2θ ≤ 90°, in order of rising 2θ)
32.23 deg, intensity 57; 32.44 deg, intensity 100; 38.42 deg, intensity 24; 38.56 deg, intensity 62; 48.86 deg, intensity 18; 51.23 deg, intensity 13; 53.41 deg, intensity 16; 53.54 deg, intensity 16

- What is the formula in the fifth record?
  PaAlAu2